Record 1
The following is a theoretical powder XRD pattern of Nd2S4N2O17. It was derived from a structure optimized by DFT (PBE), using Cu Kα (weighted mean of Kα1 and Kα2).
Neutral-atom scattering factors, no anomalous dispersion.

Cell and atoms:
a = 7.031 Å, b = 7.039 Å, c = 9.798 Å
α = 99.30°, β = 108.24°, γ = 106.34°
Space group P1 (No. 1)
Unique sites:
Nd (0.000, 0.000, 0.000) [1 per cell]
Nd (0.161, 0.657, 0.502) [1 per cell]
S (0.141, 0.106, 0.347) [1 per cell]
S (0.185, 0.569, 0.117) [1 per cell]
S (0.462, 0.062, 0.873) [1 per cell]
S (0.765, 0.784, 0.643) [1 per cell]
N (0.444, 0.623, 0.193) [1 per cell]
N (0.499, 0.235, 0.782) [1 per cell]
O (0.011, 0.456, 0.664) [1 per cell]
O (0.097, 0.371, 0.005) [1 per cell]
O (0.103, 0.562, 0.238) [1 per cell]
O (0.128, 0.287, 0.446) [1 per cell]
O (0.159, 0.738, 0.052) [1 per cell]
O (0.229, 0.988, 0.446) [1 per cell]
O (0.279, 0.184, 0.265) [1 per cell]
O (0.331, 0.110, 0.955) [1 per cell]
O (0.350, 0.860, 0.761) [1 per cell]
O (0.532, 0.695, 0.559) [1 per cell]
O (0.674, 0.081, 0.975) [1 per cell]
O (0.695, 0.677, 0.939) [1 per cell]
O (0.829, 0.357, 0.359) [1 per cell]
O (0.833, 0.001, 0.732) [1 per cell]
O (0.836, 0.670, 0.760) [1 per cell]
O (0.879, 0.763, 0.542) [1 per cell]
O (0.927, 0.976, 0.231) [1 per cell]

Principal peaks in the range 10 to 90 degrees two-theta, in order of rising 2θ:
two_theta	Rel. int.	(hkl)
13.63	38	0 1 0
13.88	43	1 0 -1
14.18	100	1 0 0
14.49	95	0 1 -1
19.55	41	1 -1 1
19.84	30	0 0 2
26.05	23	1 -2 0
26.16	25	-2 1 1
26.47	44	0 2 -1
27.13	30	0 1 2
28.59	24	1 0 2
31.96	19	2 -2 0

***

Record 2
The following is a theoretical powder XRD pattern of AlSb3Se2ClO8. It was derived from a structure optimized by DFT (PBE), using Cu Kα (weighted mean of Kα1 and Kα2).
Neutral-atom scattering factors, no anomalous dispersion.

Cell and atoms:
a = 8.005 Å, b = 9.402 Å, c = 6.943 Å
α = 90.00°, β = 90.00°, γ = 90.00°
Space group Pmm2 (No. 25)
Unique sites:
Al (0.000, 0.000, 0.000) [1 per cell]
Al (0.500, 0.500, 0.336) [1 per cell]
Sb (0.000, 0.000, 0.534) [1 per cell]
Sb (0.243, 0.245, 0.670) [4 per cell]
Sb (0.500, 0.500, 0.778) [1 per cell]
Se (0.000, 0.312, 0.223) [2 per cell]
Se (0.500, 0.188, 0.115) [2 per cell]
Cl (0.000, 0.500, 0.755) [1 per cell]
Cl (0.500, 0.000, 0.582) [1 per cell]
O (0.000, 0.125, 0.203) [2 per cell]
O (0.000, 0.140, 0.812) [2 per cell]
O (0.170, 0.332, 0.372) [4 per cell]
O (0.330, 0.168, 0.966) [4 per cell]
O (0.500, 0.362, 0.529) [2 per cell]
O (0.500, 0.374, 0.136) [2 per cell]

Principal peaks in the range 10 to 90 degrees two-theta, in order of rising 2θ:
two_theta	Rel. int.	(hkl)
12.75	25	0 0 1
18.88	18	0 2 0
19.38	13	1 1 1
25.68	52	0 0 2
27.39	16	0 1 2
29.31	28	2 2 0
30.63	13	1 3 0
32.07	100	2 2 1
34.00	14	1 2 2
40.53	18	0 4 1
45.29	31	4 0 0
56.55	16	0 2 4

***

Record 3
The following is a theoretical powder XRD pattern of Lu3Hg. It was derived from a structure optimized by DFT (PBE), using Cu Kα (weighted mean of Kα1 and Kα2).
Neutral-atom scattering factors, no anomalous dispersion.

Cell and atoms:
a = 4.715 Å, b = 4.715 Å, c = 4.715 Å
α = 90.00°, β = 90.00°, γ = 90.00°
Space group Pm-3m (No. 221)
Unique sites:
Lu (0.000, 0.000, 0.500) [3 per cell]
Hg (0.500, 0.500, 0.500) [1 per cell]

Principal peaks in the range 10 to 90 degrees two-theta, in order of rising 2θ:
two_theta	Rel. int.	(hkl)
32.90	100	1 1 1
38.18	50	2 0 0
55.10	35	2 2 0
65.68	42	3 1 1
69.00	12	2 2 2
81.70	6	4 0 0